This entry pairs a crystal structure of KHI2O6 with its simulated XRD peak list. Radiation: CuKα. Structure: a DFT-relaxed cell (PBE, the Materials Project).
Neutral-atom scattering factors, no anomalous dispersion.

Largest 6 diffraction maxima, by intensity, 10° ≤ 2θ ≤ 80°:
- 20.38°, intensity 100
- 25.28°, intensity 87
- 29.31°, intensity 71
- 26.99°, intensity 61
- 28.97°, intensity 47
- 21.46°, intensity 45

Crystal structure
```
KHI2O6
1.0
10.6914 0.0000 0.0000
0.0000 7.5386 0.0000
-3.2725 0.0000 8.0819
K H I O
4 4 8 24
Direct
0.2017 0.2475 0.3400
0.2017 0.2525 0.8400
0.7983 0.7475 0.1600
0.7983 0.7525 0.6600
0.0000 0.0000 0.0000
0.0000 0.5000 0.5000
0.5000 0.0000 0.0000
0.5000 0.5000 0.5000
0.1261 0.6971 0.0728
0.1261 0.8029 0.5728
0.4939 0.5653 0.7955
0.4939 0.9347 0.2955
0.5061 0.0653 0.7045
0.5061 0.4347 0.2045
0.8739 0.1971 0.4272
0.8739 0.3029 0.9272
0.0282 0.1574 0.0119
0.0282 0.3426 0.5119
0.0582 0.5474 0.1853
0.0582 0.9526 0.6853
0.2299 0.6532 0.7343
0.2299 0.8468 0.2343
0.3238 0.0431 0.6498
0.3238 0.4569 0.1498
0.4304 0.0285 0.0801
0.4304 0.4715 0.5801
0.4601 0.1418 0.3858
0.4601 0.3582 0.8858
0.5399 0.6418 0.1142
0.5399 0.8582 0.6142
0.5696 0.5285 0.4199
0.5696 0.9715 0.9199
0.6762 0.5431 0.8502
0.6762 0.9569 0.3502
0.7701 0.1532 0.7657
0.7701 0.3468 0.2657
0.9418 0.0474 0.3147
0.9418 0.4526 0.8147
0.9718 0.6574 0.4881
0.9718 0.8426 0.9881
```

***

This entry pairs a crystal structure of K2H2SeI2O10 with its simulated XRD peak list. Radiation: CuKα. Structure: a DFT-relaxed cell (PBE, the Materials Project).
Neutral-atom scattering factors, no anomalous dispersion.

Largest 6 diffraction maxima, by intensity, 10° ≤ 2θ ≤ 80°:
- 30.35°, intensity 100
- 28.02°, intensity 95
- 22.05°, intensity 85
- 17.19°, intensity 73
- 27.64°, intensity 70
- 12.23°, intensity 56

Crystal structure
```
K2H2SeI2O10
1.0
10.3297 -2.5000 0.0000
10.3297 2.5000 0.0000
-9.8148 0.0000 10.6409
K H Se I O
4 4 2 4 20
Direct
0.1434 0.6637 0.8485
0.3363 0.8566 0.6515
0.6637 0.1434 0.3485
0.8566 0.3363 0.1515
0.0084 0.5232 0.8842
0.4768 0.9916 0.6158
0.5232 0.0084 0.3842
0.9916 0.4768 0.1158
0.3211 0.6789 0.2500
0.6789 0.3211 0.7500
0.0334 0.6446 0.4965
0.3554 0.9666 0.0035
0.6446 0.0334 0.9965
0.9666 0.3554 0.5035
0.1210 0.8502 0.1413
0.1498 0.8790 0.3587
0.1563 0.2935 0.1413
0.1874 0.3108 0.4100
0.2151 0.5943 0.4647
0.2935 0.1563 0.6413
0.3108 0.1874 0.9100
0.3934 0.4286 0.6809
0.4057 0.7849 0.0353
0.4286 0.3934 0.1809
0.5714 0.6066 0.8191
0.5943 0.2151 0.9647
0.6066 0.5714 0.3191
0.6892 0.8126 0.0900
0.7065 0.8437 0.3587
0.7849 0.4057 0.5353
0.8126 0.6892 0.5900
0.8437 0.7065 0.8587
0.8502 0.1210 0.6413
0.8790 0.1498 0.8587
```

***

This entry pairs a crystal structure of K2ZnH4I4O14 with its simulated XRD peak list. Radiation: CuKα. Structure: a DFT-relaxed cell (PBE, the Materials Project).
Neutral-atom scattering factors, no anomalous dispersion.

Largest 6 diffraction maxima, by intensity, 10° ≤ 2θ ≤ 80°:
- 27.81°, intensity 100
- 26.40°, intensity 73
- 15.64°, intensity 71
- 26.63°, intensity 61
- 31.42°, intensity 48
- 22.85°, intensity 36

Crystal structure
```
K2ZnH4I4O14
1.0
7.0075 -3.8919 0.0000
7.0075 3.8919 0.0000
-4.9201 0.0000 6.7525
K Zn H I O
2 1 4 4 14
Direct
0.0000 0.0000 0.0000
0.5242 0.4758 0.0000
0.4585 0.5415 0.5000
0.0768 0.8296 0.3744
0.1704 0.9232 0.6256
0.7431 0.1611 0.5290
0.8389 0.2569 0.4710
0.0286 0.4956 0.0166
0.0573 0.4949 0.5167
0.5044 0.9714 0.9834
0.5051 0.9427 0.4833
0.0131 0.2519 0.4136
0.1039 0.5711 0.7808
0.1930 0.8070 0.5000
0.2178 0.0639 0.8649
0.3074 0.4428 0.1686
0.3353 0.3806 0.5345
0.4289 0.8961 0.2192
0.5572 0.6926 0.8314
0.5740 0.0585 0.8688
0.6194 0.6647 0.4655
0.7195 0.2805 0.5000
0.7481 0.9869 0.5864
0.9361 0.7822 0.1351
0.9415 0.4260 0.1312
```

***

This entry pairs a crystal structure of Li2HIO with its simulated XRD peak list. Radiation: CuKα. Structure: a DFT-relaxed cell (PBE, the Materials Project).
Neutral-atom scattering factors, no anomalous dispersion.

Largest 6 diffraction maxima, by intensity, 10° ≤ 2θ ≤ 80°:
- 22.29°, intensity 100
- 23.13°, intensity 58
- 28.82°, intensity 40
- 43.34°, intensity 29
- 28.06°, intensity 28
- 26.74°, intensity 26

Crystal structure
```
Li2HIO
1.0
10.4919 0.0000 0.0000
0.0000 5.6514 0.0000
0.0000 0.0000 6.6746
Li H I O
8 4 4 4
Direct
0.1107 0.9998 0.0608
0.1107 0.5002 0.0608
0.3893 0.0002 0.5608
0.3893 0.4998 0.5608
0.6107 0.9998 0.4392
0.6107 0.5002 0.4392
0.8893 0.0002 0.9392
0.8893 0.4998 0.9392
0.0442 0.2500 0.7742
0.4558 0.7500 0.2742
0.5442 0.2500 0.7258
0.9558 0.7500 0.2258
0.1747 0.2500 0.4160
0.3253 0.7500 0.9160
0.6747 0.2500 0.0840
0.8253 0.7500 0.5840
0.0188 0.2500 0.9160
0.4812 0.7500 0.4160
0.5188 0.2500 0.5840
0.9812 0.7500 0.0840
```